Starting from a crystal structure in the Materials Project, relaxed with GGA-PBE, the XRD peak list of Li2CuPO4 was computed for copper Kα.

Top 12 peaks for 2θ = 10–90°, by angle:
2θ 14.2, intensity 83.5, (0 0 1)
2θ 16.5, intensity 100.0, (0 1 0)
2θ 21.8, intensity 36.0, (0 1 -1)
2θ 22.6, intensity 32.5, (1 0 -1)
2θ 28.1, intensity 28.2, (-1 1 1)
2θ 28.2, intensity 30.1, (1 1 1)
2θ 33.1, intensity 43.1, (0 1 -2)
2θ 33.3, intensity 77.0, (0 2 0)
2θ 33.7, intensity 42.4, (1 0 2)
2θ 35.4, intensity 75.8, (2 0 0)
2θ 37.7, intensity 35.2, (1 -1 2)
2θ 37.8, intensity 60.6, (1 1 2)

Crystal structure
```
data_Li2CuPO4
_chemical_formula_sum 'Li4 Cu2 P2 O8'
_cell_length_a 5.067
_cell_length_b 5.383
_cell_length_c 6.243
_cell_angle_alpha 90.25
_cell_angle_beta 90.00
_cell_angle_gamma 90.31
_symmetry_space_group_name_H-M 'P 1'
_symmetry_Int_Tables_number 1
_symmetry_space_group_name_Hall 'P 1'
loop_
_atom_site_label
_atom_site_type_symbol
_atom_site_fract_x
_atom_site_fract_y
_atom_site_fract_z
Li1 Li 0.000 0.000 0.000
Li2 Li 0.000 0.003 0.501
Li3 Li 0.500 0.830 0.751
Li4 Li 0.502 0.348 0.496
Cu1 Cu 0.500 0.340 0.012
Cu2 Cu 0.996 0.495 0.249
P1 P 0.006 0.507 0.745
P2 P 0.504 0.859 0.255
O1 O 0.314 0.506 0.738
O2 O 0.392 0.973 0.043
O3 O 0.397 0.995 0.457
O4 O 0.414 0.581 0.265
O5 O 0.811 0.875 0.251
O6 O 0.895 0.360 0.546
O7 O 0.901 0.776 0.749
O8 O 0.914 0.358 0.948
```

---

Starting from a crystal structure in the Materials Project, relaxed with GGA-PBE, the XRD peak list of Li2Cu2P4O13 was computed for copper Kα.

Top 12 peaks for 2θ = 10–90°, by angle:
2θ 21.1, intensity 15.6, (1 0 1)
2θ 22.3, intensity 29.1, (0 2 1)
2θ 25.4, intensity 15.5, (1 1 -2)
2θ 28.4, intensity 100.0, (1 2 0)
2θ 28.9, intensity 20.1, (1 2 -1)
2θ 31.2, intensity 32.1, (1 0 3)
2θ 33.0, intensity 12.2, (1 1 3)
2θ 34.4, intensity 22.6, (1 0 -4)
2θ 37.3, intensity 15.4, (0 2 4)
2θ 42.7, intensity 17.1, (0 4 0)
2θ 47.1, intensity 10.2, (2 0 -4)
2θ 52.3, intensity 10.1, (2 0 4)

Crystal structure
```
data_Li2Cu2P4O13
_chemical_formula_sum 'Li4 Cu4 P8 O26'
_cell_length_a 4.721
_cell_length_b 8.462
_cell_length_c 11.777
_cell_angle_alpha 90.00
_cell_angle_beta 95.77
_cell_angle_gamma 90.00
_symmetry_space_group_name_H-M 'P 1'
_symmetry_Int_Tables_number 1
_symmetry_space_group_name_Hall 'P 1'
loop_
_atom_site_label
_atom_site_type_symbol
_atom_site_fract_x
_atom_site_fract_y
_atom_site_fract_z
Li1 Li 0.011 0.062 0.384
Li2 Li 0.011 0.438 0.384
Li3 Li 0.989 0.562 0.616
Li4 Li 0.989 0.938 0.616
Cu1 Cu 0.017 0.024 0.127
Cu2 Cu 0.017 0.476 0.127
Cu3 Cu 0.983 0.524 0.873
Cu4 Cu 0.983 0.976 0.873
P1 P 0.291 0.250 0.746
P2 P 0.373 0.750 0.474
P3 P 0.416 0.250 0.988
P4 P 0.453 0.250 0.291
P5 P 0.547 0.750 0.709
P6 P 0.584 0.750 0.012
P7 P 0.627 0.250 0.526
P8 P 0.709 0.750 0.254
O1 O 0.126 0.096 0.746
O2 O 0.126 0.404 0.746
O3 O 0.215 0.597 0.478
O4 O 0.215 0.903 0.478
O5 O 0.225 0.098 0.994
O6 O 0.225 0.402 0.994
O7 O 0.225 0.750 0.695
O8 O 0.313 0.097 0.242
O9 O 0.313 0.403 0.242
O10 O 0.316 0.750 0.932
O11 O 0.359 0.250 0.427
O12 O 0.472 0.250 0.643
O13 O 0.482 0.750 0.141
O14 O 0.518 0.250 0.859
O15 O 0.528 0.750 0.357
O16 O 0.641 0.750 0.573
O17 O 0.684 0.250 0.068
O18 O 0.687 0.597 0.758
O19 O 0.687 0.903 0.758
O20 O 0.775 0.250 0.305
O21 O 0.775 0.598 0.006
O22 O 0.775 0.902 0.006
O23 O 0.785 0.097 0.522
O24 O 0.785 0.403 0.522
O25 O 0.874 0.596 0.254
O26 O 0.874 0.904 0.254
```

---

What did the first record say?
Starting from a crystal structure in the Materials Project, relaxed with GGA-PBE, the XRD peak list of Li2CuPO4 was computed for copper Kα.

Top 12 peaks for 2θ = 10–90°, by angle:
2θ 14.2, intensity 83.5, (0 0 1)
2θ 16.5, intensity 100.0, (0 1 0)
2θ 21.8, intensity 36.0, (0 1 -1)
2θ 22.6, intensity 32.5, (1 0 -1)
2θ 28.1, intensity 28.2, (-1 1 1)
2θ 28.2, intensity 30.1, (1 1 1)
2θ 33.1, intensity 43.1, (0 1 -2)
2θ 33.3, intensity 77.0, (0 2 0)
2θ 33.7, intensity 42.4, (1 0 2)
2θ 35.4, intensity 75.8, (2 0 0)
2θ 37.7, intensity 35.2, (1 -1 2)
2θ 37.8, intensity 60.6, (1 1 2)

Crystal structure
```
data_Li2CuPO4
_chemical_formula_sum 'Li4 Cu2 P2 O8'
_cell_length_a 5.067
_cell_length_b 5.383
_cell_length_c 6.243
_cell_angle_alpha 90.25
_cell_angle_beta 90.00
_cell_angle_gamma 90.31
_symmetry_space_group_name_H-M 'P 1'
_symmetry_Int_Tables_number 1
_symmetry_space_group_name_Hall 'P 1'
loop_
_atom_site_label
_atom_site_type_symbol
_atom_site_fract_x
_atom_site_fract_y
_atom_site_fract_z
Li1 Li 0.000 0.000 0.000
Li2 Li 0.000 0.003 0.501
Li3 Li 0.500 0.830 0.751
Li4 Li 0.502 0.348 0.496
Cu1 Cu 0.500 0.340 0.012
Cu2 Cu 0.996 0.495 0.249
P1 P 0.006 0.507 0.745
P2 P 0.504 0.859 0.255
O1 O 0.314 0.506 0.738
O2 O 0.392 0.973 0.043
O3 O 0.397 0.995 0.457
O4 O 0.414 0.581 0.265
O5 O 0.811 0.875 0.251
O6 O 0.895 0.360 0.546
O7 O 0.901 0.776 0.749
O8 O 0.914 0.358 0.948
```